[1]
Structure and simulated powder X-ray diffraction pattern of MgZr2Hg (a cell relaxed with GGA-PBE; λ = 1.5418 Å (Cu Kα)).
Neutral-atom scattering factors, no anomalous dispersion.

Structural model:
```
data_MgZr2Hg
_chemical_formula_sum 'Mg2 Zr4 Hg2'
_symmetry_space_group_name_H-M 'P m m a'
_symmetry_Int_Tables_number 51
_symmetry_space_group_name_Hall '-P 2a 2a'
_cell_length_a 4.499
_cell_length_b 4.170
_cell_length_c 9.418
_cell_angle_alpha 90.00
_cell_angle_beta 90.00
_cell_angle_gamma 90.00
loop_
_atom_site_label
_atom_site_type_symbol
_atom_site_fract_x
_atom_site_fract_y
_atom_site_fract_z
Mg1 Mg 0.250 0.000 0.116
Zr1 Zr 0.250 0.000 0.623
Zr2 Zr 0.250 0.500 0.380
Hg1 Hg 0.250 0.500 0.873
```

Principal peaks in the range 2θ from 15° to 90°, most intense first:
34.98°, I = 100, hkl 1 1 2
38.22°, I = 19, hkl 0 0 4
40.08°, I = 17, hkl 2 0 0
27.42°, I = 17, hkl 1 0 2
21.89°, I = 15, hkl 1 0 1
21.31°, I = 15, hkl 0 1 0
67.01°, I = 15, hkl 1 1 6
69.54°, I = 14, hkl 3 1 2
43.40°, I = 14, hkl 0 2 0
56.58°, I = 12, hkl 2 0 4


[2]
Structure and simulated powder X-ray diffraction pattern of Mn5Hg (a cell relaxed with GGA-PBE; λ = 1.5418 Å (Cu Kα)).
Neutral-atom scattering factors, no anomalous dispersion.

Structural model:
```
data_Mn5Hg
_chemical_formula_sum 'Mn10 Hg2'
_symmetry_space_group_name_H-M 'C 1 m 1'
_symmetry_Int_Tables_number 8
_symmetry_space_group_name_Hall 'C -2y'
_cell_length_a 8.924
_cell_length_b 2.843
_cell_length_c 7.199
_cell_angle_alpha 90.00
_cell_angle_beta 112.70
_cell_angle_gamma 90.00
loop_
_atom_site_label
_atom_site_type_symbol
_atom_site_fract_x
_atom_site_fract_y
_atom_site_fract_z
Mn1 Mn 0.000 0.000 0.000
Mn2 Mn 0.004 0.000 0.553
Mn3 Mn 0.160 0.500 0.828
Mn4 Mn 0.172 0.500 0.402
Mn5 Mn 0.337 0.000 0.716
Hg1 Hg 0.333 0.000 0.194
```

Principal peaks in the range 2θ from 15° to 90°, most intense first:
40.43°, I = 100, hkl 1 1 -2
45.97°, I = 81, hkl 3 1 0
41.77°, I = 47, hkl 4 0 -2
40.98°, I = 46, hkl 2 0 2
20.53°, I = 27, hkl 2 0 -1
34.38°, I = 23, hkl 1 1 -1
21.59°, I = 22, hkl 2 0 0
50.73°, I = 20, hkl 2 0 -4
29.62°, I = 20, hkl 2 0 1
33.34°, I = 17, hkl 1 1 0


[3]
Structure and simulated powder X-ray diffraction pattern of Mn5Hg (a cell relaxed with GGA-PBE; λ = 1.5418 Å (Cu Kα)).
Neutral-atom scattering factors, no anomalous dispersion.

Structural model:
```
data_Mn5Hg
_chemical_formula_sum 'Mn20 Hg4'
_symmetry_space_group_name_H-M 'F -4 3 m'
_symmetry_Int_Tables_number 216
_symmetry_space_group_name_Hall 'F -4 2 3'
_cell_length_a 6.808
_cell_length_b 6.808
_cell_length_c 6.808
_cell_angle_alpha 90.00
_cell_angle_beta 90.00
_cell_angle_gamma 90.00
loop_
_atom_site_label
_atom_site_type_symbol
_atom_site_fract_x
_atom_site_fract_y
_atom_site_fract_z
Mn1 Mn 0.000 0.000 0.000
Mn2 Mn 0.125 0.125 0.375
Hg1 Hg 0.250 0.250 0.750
```

Principal peaks in the range 2θ from 15° to 90°, most intense first:
44.12°, I = 100, hkl 3 1 1
37.36°, I = 55, hkl 2 2 0
72.08°, I = 30, hkl 5 1 1
22.62°, I = 28, hkl 1 1 1
26.18°, I = 21, hkl 2 0 0
46.19°, I = 21, hkl 2 2 2
79.66°, I = 19, hkl 4 4 0
67.38°, I = 19, hkl 4 2 2
60.85°, I = 9, hkl 4 2 0
59.15°, I = 7, hkl 3 3 1


[4]
Structure and simulated powder X-ray diffraction pattern of MnHg6 (a cell relaxed with GGA-PBE; λ = 1.5418 Å (Cu Kα)).
Neutral-atom scattering factors, no anomalous dispersion.

Structural model:
```
data_MnHg6
_chemical_formula_sum 'Mn2 Hg12'
_symmetry_space_group_name_H-M 'I m -3 m'
_symmetry_Int_Tables_number 229
_symmetry_space_group_name_Hall '-I 4 2 3'
_cell_length_a 8.401
_cell_length_b 8.401
_cell_length_c 8.401
_cell_angle_alpha 90.00
_cell_angle_beta 90.00
_cell_angle_gamma 90.00
loop_
_atom_site_label
_atom_site_type_symbol
_atom_site_fract_x
_atom_site_fract_y
_atom_site_fract_z
Mn1 Mn 0.000 0.000 0.000
Hg1 Hg 0.000 0.250 0.500
```

Principal peaks in the range 2θ from 15° to 90°, most intense first:
25.98°, I = 100, hkl 2 1 1
37.07°, I = 84, hkl 2 2 2
40.16°, I = 64, hkl 3 2 1
43.07°, I = 50, hkl 4 0 0
21.15°, I = 41, hkl 2 0 0
75.00°, I = 34, hkl 6 2 2
62.55°, I = 34, hkl 4 4 0
33.74°, I = 29, hkl 3 1 0
55.80°, I = 22, hkl 5 1 0
68.90°, I = 20, hkl 6 1 1